This entry pairs a crystal structure of Ho5ThAg4 with its theoretical powder diffractogram. Radiation: Cu Kα. Structure: a structure optimized by DFT (GGA-PBE).

Top 12 peaks for 2θ from 5° to 70°, by angle:
2θ = 28.4°, 3.142 Å, I 4.4; 2θ = 30.9°, 2.892 Å, I 9.3; 2θ = 33.9°, 2.644 Å, I 100.0; 2θ = 35.4°, 2.535 Å, I 53.9; 2θ = 37.3°, 2.413 Å, I 7.2; 2θ = 46.4°, 1.957 Å, I 5.6; 2θ = 50.9°, 1.793 Å, I 19.0; 2θ = 55.7°, 1.650 Å, I 3.3; 2θ = 59.7°, 1.549 Å, I 10.5; 2θ = 60.8°, 1.524 Å, I 2.8; 2θ = 62.6°, 1.484 Å, I 35.1; 2θ = 63.9°, 1.456 Å, I 5.5

abc: 3.585 3.585 19.569
angles: 90.00 90.00 90.00
Space group P4/mmm (No. 123)
One atom of each set of equivalent atoms:
Ho  0.000  0.000  0.000
Ho  0.000  0.000  0.189
Ho  0.000  0.000  0.377
Th  0.500  0.500  0.500
Ag  0.500  0.500  0.094
Ag  0.500  0.500  0.282


This entry pairs a crystal structure of TiPd with its theoretical powder diffractogram. Radiation: Cu Kα. Structure: a structure optimized by DFT (GGA-PBE).

Top 5 peaks for 2θ from 5° to 70°, by angle:
2θ = 28.1°, 3.174 Å, I 20.0; 2θ = 40.2°, 2.244 Å, I 100.0; 2θ = 49.8°, 1.832 Å, I 5.8; 2θ = 58.1°, 1.587 Å, I 16.1; 2θ = 65.8°, 1.419 Å, I 7.8

abc: 3.174 3.174 3.174
angles: 90.00 90.00 90.00
Space group Pm-3m (No. 221)
One atom of each set of equivalent atoms:
Ti  0.000  0.000  0.000
Pd  0.500  0.500  0.500


This entry pairs a crystal structure of Ho2ScPd3 with its theoretical powder diffractogram. Radiation: Cu Kα. Structure: a structure optimized by DFT (GGA-PBE).

Top 12 peaks for 2θ from 5° to 70°, by angle:
2θ = 19.1°, 4.638 Å, I 5.9; 2θ = 24.1°, 3.699 Å, I 5.1; 2θ = 32.9°, 2.721 Å, I 5.3; 2θ = 36.4°, 2.466 Å, I 25.2; 2θ = 36.8°, 2.442 Å, I 26.3; 2θ = 37.3°, 2.414 Å, I 100.0; 2θ = 52.8°, 1.735 Å, I 17.3; 2θ = 54.6°, 1.680 Å, I 11.5; 2θ = 66.1°, 1.414 Å, I 15.9; 2θ = 66.6°, 1.405 Å, I 17.8; 2θ = 67.5°, 1.388 Å, I 8.1; 2θ = 67.7°, 1.384 Å, I 8.6

abc: 4.885 14.797 3.359
angles: 90.00 90.00 90.00
Space group Pmmn (No. 59, origin choice 2)
One atom of each set of equivalent atoms:
Ho  0.250  0.084  0.001
Sc  0.250  0.750  0.999
Pd  0.250  0.250  0.501
Pd  0.250  0.596  0.499


This entry pairs a crystal structure of LaNi3Ge with its theoretical powder diffractogram. Radiation: Cu Kα. Structure: a structure optimized by DFT (GGA-PBE).

Top 12 peaks for 2θ from 5° to 70°, by angle:
2θ = 24.4°, 3.649 Å, I 26.3; 2θ = 28.4°, 3.143 Å, I 71.8; 2θ = 31.5°, 2.842 Å, I 85.3; 2θ = 32.9°, 2.721 Å, I 12.2; 2θ = 38.6°, 2.333 Å, I 48.5; 2θ = 39.8°, 2.266 Å, I 56.1; 2θ = 41.4°, 2.182 Å, I 100.0; 2θ = 45.5°, 1.994 Å, I 20.0; 2θ = 50.0°, 1.825 Å, I 28.4; 2θ = 58.8°, 1.572 Å, I 68.4; 2θ = 64.9°, 1.437 Å, I 19.5; 2θ = 65.7°, 1.421 Å, I 24.0

abc: 5.443 7.298 4.532
angles: 90.00 90.00 90.00
Space group Cmmm (No. 65)
One atom of each set of equivalent atoms:
La  0.000  0.000  0.000
Ni  0.000  0.500  0.000
Ni  0.250  0.250  0.500
Ge  0.000  0.500  0.500


This entry pairs a crystal structure of TmMgZn11 with its theoretical powder diffractogram. Radiation: Cu Kα. Structure: a structure optimized by DFT (GGA-PBE).

Top 12 peaks for 2θ from 5° to 70°, by angle:
2θ = 28.1°, 3.179 Å, I 29.6; 2θ = 33.4°, 2.685 Å, I 44.5; 2θ = 34.6°, 2.590 Å, I 61.6; 2θ = 34.7°, 2.582 Å, I 37.5; 2θ = 39.2°, 2.299 Å, I 68.3; 2θ = 39.3°, 2.292 Å, I 58.9; 2θ = 40.2°, 2.245 Å, I 40.3; 2θ = 40.3°, 2.236 Å, I 55.9; 2θ = 40.5°, 2.225 Å, I 100.0; 2θ = 40.8°, 2.213 Å, I 90.4; 2θ = 44.5°, 2.035 Å, I 41.1; 2θ = 64.5°, 1.444 Å, I 32.3

abc: 5.370 12.462 6.822
angles: 90.00 112.87 90.00
Space group C2/m (No. 12)
One atom of each set of equivalent atoms:
Tm  0.000  0.000  0.000
Mg  0.000  0.000  0.500
Zn  0.000  0.500  0.500
Zn  0.102  0.391  0.212
Zn  0.183  0.178  0.349
Zn  0.250  0.250  0.000


This entry pairs a crystal structure of La2Hg with its theoretical powder diffractogram. Radiation: Cu Kα. Structure: a structure optimized by DFT (GGA-PBE).

Top 12 peaks for 2θ from 5° to 70°, by angle:
2θ = 20.0°, 4.431 Å, I 45.8; 2θ = 23.2°, 3.837 Å, I 12.7; 2θ = 26.0°, 3.432 Å, I 77.7; 2θ = 28.5°, 3.133 Å, I 40.5; 2θ = 33.0°, 2.713 Å, I 50.6; 2θ = 38.9°, 2.314 Å, I 100.0; 2θ = 40.7°, 2.215 Å, I 12.9; 2θ = 44.2°, 2.051 Å, I 35.8; 2θ = 53.4°, 1.716 Å, I 36.2; 2θ = 54.8°, 1.675 Å, I 12.6; 2θ = 62.9°, 1.477 Å, I 30.9; 2θ = 69.3°, 1.357 Å, I 14.7

abc: 7.674 7.674 7.674
angles: 90.00 90.00 90.00
Space group Pa-3 (No. 205)
One atom of each set of equivalent atoms:
La  0.153  0.153  0.153
Hg  0.000  0.000  0.500


This entry pairs a crystal structure of K2SrNi with its theoretical powder diffractogram. Radiation: Cu Kα. Structure: a structure optimized by DFT (GGA-PBE).

Top 12 peaks for 2θ from 5° to 70°, by angle:
2θ = 7.8°, 11.295 Å, I 100.0; 2θ = 15.7°, 5.648 Å, I 12.8; 2θ = 23.6°, 3.765 Å, I 10.5; 2θ = 25.5°, 3.491 Å, I 65.4; 2θ = 26.7°, 3.336 Å, I 12.3; 2θ = 29.7°, 3.005 Å, I 27.2; 2θ = 35.4°, 2.538 Å, I 20.2; 2θ = 40.8°, 2.212 Å, I 26.2; 2θ = 41.6°, 2.171 Å, I 11.7; 2θ = 44.3°, 2.046 Å, I 16.4; 2θ = 47.7°, 1.907 Å, I 8.6; 2θ = 48.7°, 1.869 Å, I 10.2

abc: 7.659 4.428 11.581
angles: 90.00 102.75 90.00
Space group Cm (No. 8)
One atom of each set of equivalent atoms:
K  0.000  0.000  0.000
K  0.211  0.000  0.638
Sr  0.433  0.000  0.304
Ni  0.225  0.500  0.180


This entry pairs a crystal structure of Er3MgFe with its theoretical powder diffractogram. Radiation: Cu Kα. Structure: a structure optimized by DFT (GGA-PBE).

Top 12 peaks for 2θ from 5° to 70°, by angle:
2θ = 11.3°, 7.853 Å, I 25.1; 2θ = 19.2°, 4.633 Å, I 14.2; 2θ = 29.7°, 3.009 Å, I 12.4; 2θ = 31.9°, 2.804 Å, I 100.0; 2θ = 32.3°, 2.770 Å, I 21.1; 2θ = 32.8°, 2.730 Å, I 25.0; 2θ = 33.1°, 2.704 Å, I 24.3; 2θ = 34.2°, 2.618 Å, I 11.8; 2θ = 37.3°, 2.408 Å, I 15.5; 2θ = 39.9°, 2.257 Å, I 12.9; 2θ = 51.9°, 1.760 Å, I 11.8; 2θ = 56.6°, 1.625 Å, I 13.5

abc: 8.975 3.520 16.227
angles: 90.00 90.00 90.00
Space group Pnma (No. 62)
One atom of each set of equivalent atoms:
Er  0.084  0.250  0.147
Er  0.205  0.250  0.498
Er  0.236  0.250  0.812
Mg  0.050  0.750  0.660
Fe  0.051  0.250  0.965